Simulated X-ray powder pattern of ZrTiBi4 for Cu Kα, 1.54184 Å, from the GGA-PBE geometry in Alexandria.
Kinematic intensities with the Lorentz-polarization factor, no thermal factor.

The 8 most intense peaks (10 to 80 degrees two-theta), sorted by position:
2θ/deg  I_rel
20.3  24
26.9  100
28.1  74
32.3  84
32.7  66
36.1  52
37.2  40
37.8  50

Structural model:
Unit cell a=7.671 b=8.005 c=5.762 alpha=90.00 beta=108.32 gamma=90.00
Element x y z (fractional)
Zr 0.000 0.000 0.000
Zr 0.000 0.500 0.500
Ti 0.500 0.000 0.500
Ti 0.500 0.500 0.000
Bi 0.159 0.138 0.543
Bi 0.159 0.362 0.043
Bi 0.358 0.651 0.489
Bi 0.358 0.849 0.989
Bi 0.642 0.151 0.011
Bi 0.642 0.349 0.511
Bi 0.841 0.638 0.957
Bi 0.841 0.862 0.457

---

Simulated X-ray powder pattern of CeAsIrN for Cu Kα, 1.54184 Å, from the GGA-PBE geometry in Alexandria.
Kinematic intensities with the Lorentz-polarization factor, no thermal factor.

The 8 most intense peaks (10 to 80 degrees two-theta), sorted by position:
2θ/deg  I_rel
10.5  83
21.1  34
30.6  95
32.9  100
37.9  77
44.6  70
54.0  64
55.0  36

Structural model:
Unit cell a=4.067 b=4.067 c=8.417 alpha=90.00 beta=90.00 gamma=90.00
Element x y z (fractional)
Ce 0.250 0.250 0.128
Ce 0.750 0.750 0.872
As 0.250 0.250 0.669
As 0.750 0.750 0.331
Ir 0.250 0.750 0.500
Ir 0.750 0.250 0.500
N 0.250 0.750 0.000
N 0.750 0.250 0.000

---

Simulated X-ray powder pattern of CsAg2I3 for Cu Kα, 1.54184 Å, from the GGA-PBE geometry in Alexandria.
Kinematic intensities with the Lorentz-polarization factor, no thermal factor.

The 8 most intense peaks (10 to 80 degrees two-theta), sorted by position:
2θ/deg  I_rel
19.5  30
24.5  100
29.5  22
31.9  13
38.4  64
43.4  27
46.1  13
49.3  15

Structural model:
Unit cell a=14.834 b=6.065 c=11.488 alpha=90.00 beta=90.00 gamma=90.00
Element x y z (fractional)
Cs 0.210 0.250 0.006
Cs 0.290 0.750 0.506
Cs 0.710 0.250 0.494
Cs 0.790 0.750 0.994
Ag 0.002 0.000 0.324
Ag 0.002 0.500 0.324
Ag 0.498 0.000 0.824
Ag 0.498 0.500 0.824
Ag 0.502 0.000 0.176
Ag 0.502 0.500 0.176
Ag 0.998 0.000 0.676
Ag 0.998 0.500 0.676
I 0.108 0.250 0.503
I 0.127 0.750 0.801
I 0.138 0.750 0.211
I 0.362 0.250 0.711
I 0.373 0.250 0.301
I 0.392 0.750 0.003
I 0.608 0.250 0.997
I 0.627 0.750 0.699
I 0.638 0.750 0.289
I 0.862 0.250 0.789
I 0.873 0.250 0.199
I 0.892 0.750 0.497

---

Simulated X-ray powder pattern of Nb8Sn3 for Cu Kα, 1.54184 Å, from the GGA-PBE geometry in Alexandria.
Kinematic intensities with the Lorentz-polarization factor, no thermal factor.

The 8 most intense peaks (10 to 80 degrees two-theta), sorted by position:
2θ/deg  I_rel
37.3  100
37.4  29
38.2  54
53.8  20
66.6  11
67.2  12
67.9  10
77.1  24

Structural model:
Unit cell a=15.605 b=15.605 c=15.605 alpha=169.41 beta=162.23 gamma=20.73
Element x y z (fractional)
Nb 0.045 0.045 0.000
Nb 0.227 0.227 0.000
Nb 0.319 0.819 0.500
Nb 0.410 0.910 0.500
Nb 0.590 0.090 0.500
Nb 0.681 0.181 0.500
Nb 0.773 0.773 0.000
Nb 0.955 0.955 0.000
Sn 0.137 0.637 0.500
Sn 0.500 0.500 0.000
Sn 0.863 0.363 0.500

---

Simulated X-ray powder pattern of MgNi2H8Pb for Cu Kα, 1.54184 Å, from the GGA-PBE geometry in Alexandria.
Kinematic intensities with the Lorentz-polarization factor, no thermal factor.

The 8 most intense peaks (10 to 80 degrees two-theta), sorted by position:
2θ/deg  I_rel
23.0  100
24.3  32
26.5  50
28.8  40
31.7  61
39.7  56
48.3  60
69.5  17

Structural model:
Unit cell a=7.232 b=7.232 c=7.232 alpha=36.62 beta=36.62 gamma=36.62
Element x y z (fractional)
Mg 0.000 0.000 0.000
Ni 0.323 0.323 0.323
Ni 0.677 0.677 0.677
H 0.074 0.456 0.613
H 0.246 0.246 0.246
H 0.387 0.926 0.544
H 0.456 0.613 0.074
H 0.544 0.387 0.926
H 0.613 0.074 0.456
H 0.754 0.754 0.754
H 0.926 0.544 0.387
Pb 0.500 0.500 0.500

---

Simulated X-ray powder pattern of CsZn2Au2 for Cu Kα, 1.54184 Å, from the GGA-PBE geometry in Alexandria.
Kinematic intensities with the Lorentz-polarization factor, no thermal factor.

The 8 most intense peaks (10 to 80 degrees two-theta), sorted by position:
2θ/deg  I_rel
23.2  44
33.0  70
35.6  35
37.2  100
43.5  16
54.1  24
65.9  20
69.6  16

Structural model:
Unit cell a=8.572 b=8.572 c=3.114 alpha=90.00 beta=90.00 gamma=90.00
Element x y z (fractional)
Cs 0.000 0.000 0.000
Cs 0.500 0.500 0.000
Zn 0.116 0.384 0.000
Zn 0.384 0.884 0.000
Zn 0.616 0.116 0.000
Zn 0.884 0.616 0.000
Au 0.160 0.660 0.500
Au 0.340 0.160 0.500
Au 0.660 0.840 0.500
Au 0.840 0.340 0.500